Starting from a cell relaxed with GGA-PBE, the PXRD pattern of Cs2CuO2 was calculated for Cu Kα (λ = 1.5418 Å).

Crystal structure
```
5
Lattice="-2.4109 2.4109 5.2793 2.4109 -2.4109 5.2793 2.4109 2.4109 -5.2793" Properties=species:S:1:pos:R:3 pbc="T T T"
Cs 2.4109 0.0000 2.6397
Cs 0.0000 2.4109 2.6397
Cu 0.0000 0.0000 0.0000
O 2.4109 0.0000 0.0000
O 0.0000 2.4109 0.0000
```

Main lines, by angle (2θ = 5–70°):
2θ/deg, d_spacing, I_rel
16.79, 5.279, 31
20.25, 4.386, 16
26.14, 3.409, 47
31.23, 2.864, 100
33.96, 2.640, 30
37.30, 2.411, 46
43.35, 2.087, 22
51.32, 1.780, 36
53.77, 1.705, 15
59.07, 1.564, 16
63.51, 1.465, 27
65.14, 1.432, 17